For Ce5Zr3O16, a cell relaxed with GGA-PBE gives the computed PXRD pattern in this record (Cu Ka).

Main lines, low angle first (15 to 90 degrees two-theta):
Position (°2θ)  I/Imax
28.7  100
33.2  19
33.5  9
47.6  18
47.8  36
56.5  29
57.0  14
59.4  8
76.9  6
77.3  11
88.9  10
89.4  5

Structural model:
Lattice parameters (Å, degrees): 10.7025 10.8052 5.4064 90.00 90.00 90.00
Space group C222 (No. 21)
Asymmetric unit:
Ce 0.0000 0.0000 0.0000
Ce 0.2429 0.5000 0.5000
Ce 0.2500 0.2500 0.9913
Zr 0.0000 0.2441 0.5000
Zr 0.0000 0.5000 0.0000
O 0.1133 0.3611 0.7091
O 0.1179 0.1409 0.2710
O 0.1286 0.3932 0.2029
O 0.1309 0.1146 0.7622

For Hf5Sb3, a cell relaxed with GGA-PBE gives the computed PXRD pattern in this record (Cu Ka).

Main lines, low angle first (15 to 90 degrees two-theta):
Position (°2θ)  I/Imax
32.5  80
33.8  39
34.3  58
34.6  31
35.4  67
35.6  100
37.1  30
38.5  20
39.1  29
40.9  39
45.1  18
65.5  18

Structural model:
Lattice parameters (Å, degrees): 7.4587 8.8204 10.7916 90.00 90.00 90.00
Space group Pnma (No. 62)
Asymmetric unit:
Hf 0.0270 0.2500 0.0107
Hf 0.1406 0.7500 0.2839
Hf 0.1947 0.2500 0.2768
Hf 0.1981 0.0577 0.5599
Sb 0.0742 0.0079 0.8249
Sb 0.0824 0.7500 0.5446

For Bi, a cell relaxed with GGA-PBE gives the computed PXRD pattern in this record (Cu Ka).

Main lines, low angle first (15 to 90 degrees two-theta):
Position (°2θ)  I/Imax
27.0  100
27.4  57
30.2  12
30.5  13
38.0  11
38.7  38
39.1  62
40.8  10
48.4  25
63.5  14
63.7  10
64.1  9

Structural model:
Lattice parameters (Å, degrees): 4.7320 4.6108 6.5014 90.00 90.87 90.00
Space group P2_1/m (No. 11)
Asymmetric unit:
Bi 0.1597 0.2500 0.2594
Bi 0.2840 0.2500 0.7621

Question: Number 3 is which compound?
Answer: Bi